This entry pairs a crystal structure of Sm2Dy3Y3 with its simulated X-ray powder pattern. Radiation: Cu Kα (weighted mean of Kα1 and Kα2). Structure: a PBE-relaxed structure.
Lines closer than 0.1° are merged.

The 12 most intense peaks (10 to 90 degrees two-theta), low angle first:
- 18.08 deg, intensity 4
- 21.98 deg, intensity 3
- 30.63 deg, intensity 100
- 35.51 deg, intensity 50
- 51.10 deg, intensity 36
- 60.76 deg, intensity 42
- 63.77 deg, intensity 12
- 75.11 deg, intensity 4
- 75.28 deg, intensity 2
- 83.31 deg, intensity 17
- 85.94 deg, intensity 11
- 86.08 deg, intensity 6

Cell and atoms:
Unit cell a=10.7140 b=10.7140 c=10.7140 alpha=152.69 beta=152.69 gamma=39.01
Atoms (fractional coordinates):
Sm (0.2501, 0.2501, 0.0000)
Sm (0.7499, 0.7499, 0.0000)
Dy (0.0000, 0.0000, 0.0000)
Dy (0.3758, 0.8758, 0.5000)
Dy (0.6242, 0.1242, 0.5000)
Y (0.1242, 0.6242, 0.5000)
Y (0.5000, 0.5000, 0.0000)
Y (0.8758, 0.3758, 0.5000)